# 1
Diffraction record for Pu4Ni13C4. The X-ray diffraction stick pattern is calculated, not measured: it uses a crystal structure in Alexandria, relaxed with PBE and Cu Kα X-rays.

The 10 most intense peaks (10° ≤ 2θ ≤ 90°), low angle first:
two_theta	d (Å)	I_rel	hkl
22.95	3.875	24	0 0 1
23.50	3.786	27	1 3 0
23.75	3.746	26	3 1 0
33.08	2.708	90	1 3 1
33.27	2.693	49	3 1 1
33.80	2.652	37	4 2 0
37.96	2.371	38	0 4 1
41.25	2.189	100	4 2 1
44.21	2.049	39	3 5 0
46.90	1.937	41	0 0 2

Structure:
```
data_Pu4Ni13C4
_symmetry_space_group_name_H-M 'C m m m'
_symmetry_Int_Tables_number 65
_symmetry_space_group_name_Hall '-C 2 2'
_cell_length_a 11.8293
_cell_length_b 11.9874
_cell_length_c 3.8747
_cell_angle_alpha 90.00
_cell_angle_beta 90.00
_cell_angle_gamma 90.00
loop_
_atom_site_label
_atom_site_fract_x
_atom_site_fract_y
_atom_site_fract_z
_atom_site_occupancy
Pu1 0.0000 0.1855 0.0000 1
Pu2 0.1467 0.5000 0.0000 1
Ni1 0.0000 0.0000 0.5000 1
Ni2 0.1076 0.3214 0.5000 1
Ni3 0.1268 0.0000 0.0000 1
Ni4 0.1828 0.1091 0.5000 1
Ni5 0.2500 0.2500 0.0000 1
C1 0.0000 0.4428 0.5000 1
C2 0.2500 0.2500 0.5000 1
```



# 2
Diffraction record for Tb2Ho13. The X-ray diffraction stick pattern is calculated, not measured: it uses a crystal structure in Alexandria, relaxed with PBE and Cu Kα X-rays.

The 10 most intense peaks (10° ≤ 2θ ≤ 90°), low angle first:
two_theta	d (Å)	I_rel	hkl
30.56	2.925	20	1 1 -2
32.28	2.774	100	1 3 1
32.36	2.767	26	2 1 2
37.82	2.379	8	0 1 -3
45.07	2.012	7	3 -1 0
45.15	2.008	7	1 0 4
47.46	1.916	10	1 3 -2
57.65	1.599	14	3 4 3
58.59	1.575	8	3 4 0
62.85	1.479	19	4 0 -2

Structure:
```
data_Tb2Ho13
_symmetry_space_group_name_H-M 'P -1'
_symmetry_Int_Tables_number 2
_symmetry_space_group_name_Hall '-P 1'
_cell_length_a 6.5503
_cell_length_b 8.6563
_cell_length_c 8.9062
_cell_angle_alpha 69.15
_cell_angle_beta 83.95
_cell_angle_gamma 80.72
loop_
_atom_site_label
_atom_site_fract_x
_atom_site_fract_y
_atom_site_fract_z
_atom_site_occupancy
Tb1 0.1987 0.3041 0.3977 1
Ho1 0.0000 0.5000 0.0000 1
Ho2 0.0959 0.9252 0.6921 1
Ho3 0.1339 0.6964 0.2670 1
Ho4 0.2376 0.0759 0.9753 1
Ho5 0.3337 0.4993 0.6673 1
Ho6 0.4295 0.9230 0.3592 1
Ho7 0.4663 0.6967 0.9341 1
```



# 3
Diffraction record for Si23C4. The X-ray diffraction stick pattern is calculated, not measured: it uses a crystal structure in Alexandria, relaxed with PBE and Cu Kα X-rays.

The 10 most intense peaks (10° ≤ 2θ ≤ 90°), low angle first:
two_theta	d (Å)	I_rel	hkl
19.56	4.537	52	2 1 0
21.45	4.142	35	2 1 1
30.52	2.929	35	2 2 2
31.80	2.814	30	3 2 0
33.03	2.712	100	3 2 1
36.51	2.461	30	4 1 0
52.60	1.740	74	5 3 0
53.43	1.715	25	5 3 1
54.24	1.691	23	6 0 0
55.86	1.646	44	5 3 2

Structure:
```
data_Si23C4
_symmetry_space_group_name_H-M 'P m -3 n'
_symmetry_Int_Tables_number 223
_symmetry_space_group_name_Hall '-P 4n 2 3'
_cell_length_a 10.1461
_cell_length_b 10.1461
_cell_length_c 10.1461
_cell_angle_alpha 90.00
_cell_angle_beta 90.00
_cell_angle_gamma 90.00
loop_
_atom_site_label
_atom_site_fract_x
_atom_site_fract_y
_atom_site_fract_z
_atom_site_occupancy
Si1 0.0000 0.1160 0.3102 1
Si2 0.0000 0.2500 0.5000 1
Si3 0.1825 0.1825 0.1825 1
C1 0.0000 0.0000 0.0000 1
C2 0.0000 0.5000 0.2500 1
```



# 4
Diffraction record for K3Ac3SiO8. The X-ray diffraction stick pattern is calculated, not measured: it uses a crystal structure in Alexandria, relaxed with PBE and Cu Kα X-rays.

The 10 most intense peaks (10° ≤ 2θ ≤ 90°), low angle first:
two_theta	d (Å)	I_rel	hkl
13.96	6.344	100	0 0 3
16.97	5.224	24	0 1 2
28.13	3.172	27	0 0 6
28.95	3.084	42	0 2 1
30.10	2.969	62	2 0 2
34.33	2.612	73	0 2 4
48.06	1.893	24	2 0 8
50.59	1.804	23	2 2 0
52.74	1.736	20	2 2 3
58.88	1.568	23	2 2 6

Structure:
```
data_K3Ac3SiO8
_symmetry_space_group_name_H-M 'R -3 m'
_symmetry_Int_Tables_number 166
_symmetry_space_group_name_Hall '-R 3 2"'
_cell_length_a 7.2174
_cell_length_b 7.2174
_cell_length_c 19.0332
_cell_angle_alpha 90.00
_cell_angle_beta 90.00
_cell_angle_gamma 120.00
loop_
_atom_site_label
_atom_site_fract_x
_atom_site_fract_y
_atom_site_fract_z
_atom_site_occupancy
K1 0.0000 0.5000 0.0000 1
Ac1 0.0000 0.5000 0.5000 1
Si1 0.0000 0.0000 0.5000 1
O1 0.0000 0.0000 0.2347 1
O2 0.0733 0.5367 0.2212 1
```